Record 1
Calculated powder XRD pattern
Compound: Zr2P3O12
Radiation: Cu Ka
Structure: a GGA-PBE-relaxed structure

The 8 most intense peaks (15° ≤ 2θ ≤ 90°), sorted by position:
2theta, I (rel.)
19.1, 100
19.6, 66
22.8, 80
27.5, 70
30.4, 60
34.0, 29
34.3, 27
53.6, 24

```
data_Zr2P3O12
_chemical_formula_sum 'Zr12 P18 O72'
_symmetry_space_group_name_H-M 'R -3 c'
_symmetry_Int_Tables_number 167
_symmetry_space_group_name_Hall '-R 3 2"c'
_cell_length_a 9.0440
_cell_length_b 9.0440
_cell_length_c 23.1760
_cell_angle_alpha 90.00
_cell_angle_beta 90.00
_cell_angle_gamma 120.00
loop_
_atom_site_label
_atom_site_type_symbol
_atom_site_fract_x
_atom_site_fract_y
_atom_site_fract_z
Zr1 Zr 0.0000 0.0000 0.1414
P1 P 0.0000 0.2811 0.2500
O1 O 0.0299 0.1987 0.1965
O2 O 0.0324 0.2078 0.9070
```

---

Record 2
Calculated powder XRD pattern
Compound: Zr2P4O17
Radiation: Cu Ka
Structure: a GGA-PBE-relaxed structure

The 8 most intense peaks (15° ≤ 2θ ≤ 90°), sorted by position:
2theta, I (rel.)
18.6, 11
22.4, 100
22.6, 40
31.3, 15
31.6, 15
32.5, 29
42.8, 9
45.8, 14

```
data_Zr2P4O17
_chemical_formula_sum 'Zr2 P4 O17'
_symmetry_space_group_name_H-M 'P 1 2/m 1'
_symmetry_Int_Tables_number 10
_cell_length_a 7.099
_cell_length_b 5.498
_cell_length_c 9.543
_cell_angle_alpha 90.00
_cell_angle_beta 90.59
_cell_angle_gamma 90.00
loop_
_symmetry_equiv_pos_as_xyz
'x,y,z'
'-x,-y,-z'
'-x,y,-z'
'x,-y,z'
loop_
_atom_site_label
_atom_site_type_symbol
_atom_site_fract_x
_atom_site_fract_y
_atom_site_fract_z
Zr1 Zr 0.000 0.000 0.000
Zr2 Zr 0.000 0.500 0.500
P1 P 0.226 0.000 0.330
P2 P 0.239 0.500 0.832
O1 O 0.156 0.230 0.401
O2 O 0.156 0.272 0.902
O3 O 0.185 0.000 0.172
O4 O 0.187 0.500 0.674
O5 O 0.455 0.000 0.331
O6 O 0.456 0.500 0.849
O7 O 0.500 0.000 0.500
```

---

Record 3
Calculated powder XRD pattern
Compound: Zr2P4O17
Radiation: Cu Ka
Structure: a GGA-PBE-relaxed structure

The 8 most intense peaks (15° ≤ 2θ ≤ 90°), sorted by position:
2theta, I (rel.)
19.0, 52
21.0, 45
22.2, 92
24.4, 100
32.7, 24
32.9, 25
33.9, 31
44.9, 15

```
data_Zr2P4O17
_chemical_formula_sum 'Zr4 P8 O34'
_symmetry_space_group_name_H-M 'C 1 2 1'
_symmetry_Int_Tables_number 5
_cell_length_a 9.507
_cell_length_b 5.473
_cell_length_c 15.123
_cell_angle_alpha 90.00
_cell_angle_beta 107.36
_cell_angle_gamma 90.00
loop_
_symmetry_equiv_pos_as_xyz
'x,y,z'
'-x,y,-z'
'x+1/2,y+1/2,z'
'-x+1/2,y+1/2,-z'
loop_
_atom_site_label
_atom_site_type_symbol
_atom_site_fract_x
_atom_site_fract_y
_atom_site_fract_z
Zr1 Zr 0.137 0.000 0.232
P1 P 0.026 0.500 0.345
P2 P 0.250 0.496 0.117
O1 O 0.000 0.357 0.500
O2 O 0.074 0.254 0.318
O3 O 0.082 0.969 0.846
O4 O 0.086 0.519 0.460
O5 O 0.108 0.715 0.320
O6 O 0.141 0.527 0.684
O7 O 0.176 0.278 0.151
O8 O 0.199 0.509 0.010
O9 O 0.202 0.735 0.153
```

---

Record 4
Calculated powder XRD pattern
Compound: PaO5
Radiation: Cu Ka
Structure: a GGA-PBE-relaxed structure

The 8 most intense peaks (15° ≤ 2θ ≤ 90°), sorted by position:
2theta, I (rel.)
20.8, 56
25.2, 100
28.5, 31
28.6, 41
29.0, 41
32.7, 37
35.6, 40
51.9, 28

```
data_PaO5
_chemical_formula_sum 'Pa1 O5'
_symmetry_space_group_name_H-M 'P 1 m 1'
_symmetry_Int_Tables_number 6
_cell_length_a 3.566
_cell_length_b 4.267
_cell_length_c 6.276
_cell_angle_alpha 90.00
_cell_angle_beta 91.09
_cell_angle_gamma 90.00
loop_
_symmetry_equiv_pos_as_xyz
'x,y,z'
'x,-y,z'
loop_
_atom_site_label
_atom_site_type_symbol
_atom_site_fract_x
_atom_site_fract_y
_atom_site_fract_z
Pa1 Pa 0.000 0.000 0.000
O1 O 0.000 0.500 0.998
O2 O 0.492 0.500 0.602
O3 O 0.493 0.000 0.788
O4 O 0.503 0.500 0.410
O5 O 0.507 0.000 0.207
```

---

Record 5
Calculated powder XRD pattern
Compound: Pa2PbO7
Radiation: Cu Ka
Structure: a GGA-PBE-relaxed structure

The 8 most intense peaks (15° ≤ 2θ ≤ 90°), sorted by position:
2theta, I (rel.)
25.0, 56
27.4, 100
30.3, 51
33.3, 64
47.3, 52
48.3, 41
53.4, 25
54.2, 42

```
data_Pa2PbO7
_chemical_formula_sum 'Pa6 Pb3 O21'
_symmetry_space_group_name_H-M 'R -3 m'
_symmetry_Int_Tables_number 166
_symmetry_space_group_name_Hall '-R 3 2"'
_cell_length_a 3.8449
_cell_length_b 3.8449
_cell_length_c 32.0192
_cell_angle_alpha 90.00
_cell_angle_beta 90.00
_cell_angle_gamma 120.00
loop_
_atom_site_label
_atom_site_type_symbol
_atom_site_fract_x
_atom_site_fract_y
_atom_site_fract_z
Pa1 Pa 0.0000 0.0000 0.0657
Pb1 Pb 0.0000 0.0000 0.5000
O1 O 0.0000 0.0000 0.0000
O2 O 0.0000 0.0000 0.1419
O3 O 0.0000 0.0000 0.2804
O4 O 0.0000 0.0000 0.4256
```

---

Record 6
Calculated powder XRD pattern
Compound: Pa4PbO12
Radiation: Cu Ka
Structure: a GGA-PBE-relaxed structure

The 8 most intense peaks (15° ≤ 2θ ≤ 90°), sorted by position:
2theta, I (rel.)
20.2, 65
21.2, 56
21.4, 53
29.4, 100
29.6, 99
30.3, 87
53.2, 47
53.6, 46

```
data_Pa4PbO12
_chemical_formula_sum 'Pa8 Pb2 O24'
_symmetry_space_group_name_H-M 'I m m m'
_symmetry_Int_Tables_number 71
_symmetry_space_group_name_Hall '-I 2 2'
_cell_length_a 8.288
_cell_length_b 8.383
_cell_length_c 8.789
_cell_angle_alpha 90.00
_cell_angle_beta 90.00
_cell_angle_gamma 90.00
loop_
_atom_site_label
_atom_site_type_symbol
_atom_site_fract_x
_atom_site_fract_y
_atom_site_fract_z
Pa1 Pa 0.250 0.250 0.250
Pb1 Pb 0.000 0.000 0.000
O1 O 0.000 0.287 0.284
O2 O 0.181 0.187 0.000
O3 O 0.206 0.000 0.280
```

---

Record 7
Calculated powder XRD pattern
Compound: PaPdPbO6
Radiation: Cu Ka
Structure: a GGA-PBE-relaxed structure

The 8 most intense peaks (15° ≤ 2θ ≤ 90°), sorted by position:
2theta, I (rel.)
25.7, 100
32.5, 52
41.9, 27
48.9, 45
54.1, 27
58.1, 27
68.2, 13
70.0, 11

```
data_PaPdPbO6
_chemical_formula_sum 'Pa2 Pd2 Pb2 O12'
_symmetry_space_group_name_H-M 'P -3 1 c'
_symmetry_Int_Tables_number 163
_symmetry_space_group_name_Hall '-P 3 2c'
_cell_length_a 5.5017
_cell_length_b 5.5017
_cell_length_c 10.1101
_cell_angle_alpha 90.00
_cell_angle_beta 90.00
_cell_angle_gamma 120.00
loop_
_atom_site_label
_atom_site_type_symbol
_atom_site_fract_x
_atom_site_fract_y
_atom_site_fract_z
Pa1 Pa 0.3333 0.6667 0.2500
Pd1 Pd 0.3333 0.6667 0.7500
Pb1 Pb 0.0000 0.0000 0.0000
O1 O 0.0178 0.3614 0.6373
```

---

Question: Which formula does entry 3 have?
Answer: Zr2P4O17

---

Question: Which formula does entry 3 have?
Answer: Zr2P4O17